# 1
For La3Si2Cl3O7, a crystal structure in the Materials Project, relaxed with PBE gives the calculated X-ray powder pattern in this record (Cu Ka).
Peak positions follow from Bragg's law for the DFT cell and can differ from measured ones.

The 10 most intense peaks (2θ = 5–70°), low angle first:
- 13.80°, I = 100
- 22.66°, I = 54
- 22.79°, I = 61
- 24.79°, I = 57
- 25.08°, I = 70
- 25.45°, I = 77
- 27.81°, I = 54
- 32.92°, I = 89
- 33.13°, I = 77
- 33.81°, I = 53

Cell and atoms:
```
La3Si2Cl3O7
1.0
5.408 0.000 0.000
0.000 12.238 0.000
-2.583 0.000 7.536
La Si Cl O
6 4 6 14
Cartesian
-0.963 0.000 3.175 La
-0.954 0.309 7.314 La
1.598 9.137 2.260 La
1.227 3.018 5.276 La
3.779 6.427 0.223 La
3.788 6.119 4.361 La
-1.248 4.134 7.048 Si
1.300 5.506 2.386 Si
1.525 11.625 5.150 Si
4.073 10.252 0.488 Si
-1.202 3.032 3.724 Cl
-1.561 7.638 7.087 Cl
1.603 1.448 2.528 Cl
1.222 7.567 5.009 Cl
4.386 1.519 0.449 Cl
4.027 9.151 3.813 Cl
0.162 10.721 0.960 O
-0.257 6.005 2.329 O
-0.880 2.576 6.808 O
-0.155 4.959 6.105 O
1.695 4.616 1.047 O
0.428 0.630 5.246 O
1.094 10.861 3.782 O
1.731 4.742 3.754 O
2.397 6.749 2.291 O
1.130 10.734 6.490 O
2.980 11.077 1.432 O
3.704 8.695 0.728 O
3.082 12.123 5.207 O
2.663 4.603 6.576 O
```


# 2
For EuP3, a crystal structure in the Materials Project, relaxed with PBE gives the calculated X-ray powder pattern in this record (Cu Ka).
Peak positions follow from Bragg's law for the DFT cell and can differ from measured ones.

The 10 most intense peaks (2θ = 5–70°), low angle first:
- 21.78°, I = 26
- 24.60°, I = 32
- 26.86°, I = 89
- 30.31°, I = 27
- 33.09°, I = 100
- 33.45°, I = 26
- 34.75°, I = 65
- 34.93°, I = 30
- 44.72°, I = 32
- 50.40°, I = 26

Cell and atoms:
```
EuP3
1.0
4.497 -3.619 0.000
4.497 3.619 0.000
-2.140 0.000 5.084
Eu P
2 6
Cartesian
0.740 0.000 1.751 Eu
6.114 0.000 3.333 Eu
2.850 1.900 0.945 P
4.005 1.900 4.139 P
4.018 0.000 1.042 P
2.836 0.000 4.043 P
2.850 -1.900 0.945 P
4.005 -1.900 4.139 P
```